No. 1
The following is a calculated powder diffractogram of GdPdPb. It was derived from the GGA-PBE geometry in OQMD, using Cu Kα.
Kinematic intensities with the Lorentz-polarization factor, no thermal factor.

Structural model:
```
data_GdPdPb
_chemical_formula_sum 'Gd2 Pd2 Pb2'
_cell_length_a 4.819
_cell_length_b 4.819
_cell_length_c 6.968
_cell_angle_alpha 90.00
_cell_angle_beta 90.00
_cell_angle_gamma 120.00
_symmetry_space_group_name_H-M 'P 1'
_symmetry_Int_Tables_number 1
loop_
_symmetry_equiv_pos_as_xyz
'x,y,z'
loop_
_atom_site_label
_atom_site_fract_x
_atom_site_fract_y
_atom_site_fract_z
_atom_site_occupancy
Gd1 0.000 0.000 0.000 1
Gd2 0.000 0.000 0.500 1
Pd1 0.333 0.667 0.250 1
Pd2 0.667 0.333 0.750 1
Pb1 0.333 0.667 0.750 1
Pb2 0.667 0.333 0.250 1
```

Largest 10 diffraction maxima, sorted by position, 15° ≤ 2θ ≤ 90°:
d [Å]  two_theta  I_rel
3.581  24.87  14
2.675  33.50  100
2.410  37.32  85
1.982  45.78  11
1.790  51.01  31
1.742  52.53  11
1.437  64.88  30
1.412  66.19  32
1.391  67.30  15
1.099  89.14  13


No. 2
The following is a calculated powder diffractogram of Er2Tm5Ni2Te2. It was derived from the GGA-PBE geometry in OQMD, using Cu Kα.
Kinematic intensities with the Lorentz-polarization factor, no thermal factor.

Structural model:
```
data_Er2Tm5Ni2Te2
_chemical_formula_sum 'Er2 Tm5 Ni2 Te2'
_cell_length_a 9.250
_cell_length_b 9.250
_cell_length_c 9.250
_cell_angle_alpha 156.18
_cell_angle_beta 66.94
_cell_angle_gamma 118.48
_symmetry_space_group_name_H-M 'P 1'
_symmetry_Int_Tables_number 1
loop_
_symmetry_equiv_pos_as_xyz
'x,y,z'
loop_
_atom_site_label
_atom_site_fract_x
_atom_site_fract_y
_atom_site_fract_z
_atom_site_occupancy
Er1 0.133 0.000 0.133 1
Er2 0.867 0.000 0.867 1
Tm1 0.111 0.796 0.315 1
Tm2 0.417 0.417 0.000 1
Tm3 0.482 0.796 0.685 1
Tm4 0.501 0.147 0.354 1
Tm5 0.794 0.147 0.646 1
Ni1 0.252 0.489 0.763 1
Ni2 0.727 0.489 0.237 1
Te1 0.152 0.652 0.500 1
Te2 0.754 0.754 0.000 1
```

Largest 10 diffraction maxima, sorted by position, 15° ≤ 2θ ≤ 90°:
d [Å]  two_theta  I_rel
3.066  29.13  23
2.934  30.46  22
2.917  30.64  52
2.689  33.32  80
2.609  34.38  100
2.573  34.88  74
2.431  36.97  23
2.319  38.83  19
1.909  47.64  30
1.556  59.38  31